[1]
Diffraction record for Cu2AgBr3. The powder diffractogram is computed, not measured: it uses a cell relaxed with PBE and Cu Kα.

Structural model:
```
data_Cu2AgBr3
_cell_length_a 21.841
_cell_length_b 4.149
_cell_length_c 6.952
_cell_angle_alpha 90.00
_cell_angle_beta 103.79
_cell_angle_gamma 90.00
_symmetry_space_group_name_H-M 'C 1 2/m 1'
_symmetry_Int_Tables_number 12
_symmetry_space_group_name_Hall '-C 2y'
loop_
_atom_site_label
_atom_site_type_symbol
_atom_site_fract_x
_atom_site_fract_y
_atom_site_fract_z
_atom_site_occupancy
Cu1 Cu 0.044 0.000 0.156 1
Cu2 Cu 0.198 0.500 0.331 1
Ag1 Ag 0.152 0.500 0.925 1
Br1 Br 0.070 0.000 0.823 1
Br2 Br 0.089 0.500 0.332 1
Br3 Br 0.250 0.000 0.261 1
```

Largest 8 diffraction maxima, by angle, 2θ from 10° to 90°:
(hkl)	2θ (°)	intensity
0 0 1	13.11	34.1
3 1 0	24.88	100.0
3 1 1	29.63	85.7
6 0 -2	32.00	28.1
1 1 2	35.31	29.4
9 1 -1	43.41	50.0
0 2 0	43.64	45.8
7 1 -3	49.47	28.4

[2]
Diffraction record for LiCo2Te2. The powder diffractogram is computed, not measured: it uses a cell relaxed with PBE and Cu Kα.

Structural model:
```
data_LiCo2Te2
_cell_length_a 3.791
_cell_length_b 3.791
_cell_length_c 14.017
_cell_angle_alpha 90.00
_cell_angle_beta 90.00
_cell_angle_gamma 90.00
_symmetry_space_group_name_H-M 'I 4/m m m'
_symmetry_Int_Tables_number 139
_symmetry_space_group_name_Hall '-I 4 2'
loop_
_atom_site_label
_atom_site_type_symbol
_atom_site_fract_x
_atom_site_fract_y
_atom_site_fract_z
_atom_site_occupancy
Li1 Li 0.000 0.000 0.000 1
Co1 Co 0.000 0.500 0.250 1
Te1 Te 0.000 0.000 0.366 1
```

Largest 8 diffraction maxima, by angle, 2θ from 10° to 90°:
(hkl)	2θ (°)	intensity
0 0 2	12.63	87.4
1 0 1	24.32	87.5
1 0 3	30.36	84.0
1 1 4	42.45	100.0
2 0 0	47.99	38.0
1 0 7	51.62	21.9
2 1 3	57.85	26.6
3 1 4	85.62	24.9

[3]
Diffraction record for TbMg2Cd6. The powder diffractogram is computed, not measured: it uses a cell relaxed with PBE and Cu Kα.

Structural model:
```
data_TbMg2Cd6
_cell_length_a 15.146
_cell_length_b 11.370
_cell_length_c 5.049
_cell_angle_alpha 90.00
_cell_angle_beta 90.00
_cell_angle_gamma 90.00
_symmetry_space_group_name_H-M 'C m c m'
_symmetry_Int_Tables_number 63
_symmetry_space_group_name_Hall '-C 2c 2'
loop_
_atom_site_label
_atom_site_type_symbol
_atom_site_fract_x
_atom_site_fract_y
_atom_site_fract_z
_atom_site_occupancy
Tb1 Tb 0.000 0.191 0.250 1
Mg1 Mg 0.164 0.421 0.250 1
Cd1 Cd 0.095 0.330 0.750 1
Cd2 Cd 0.104 0.068 0.750 1
Cd3 Cd 0.211 0.158 0.250 1
```

Largest 8 diffraction maxima, by angle, 2θ from 10° to 90°:
(hkl)	2θ (°)	intensity
0 2 1	23.56	33.1
4 2 1	33.52	19.3
5 1 1	35.45	100.0
0 0 2	35.56	52.2
0 4 1	36.27	77.2
5 3 0	38.03	43.1
5 3 2	53.04	34.3
5 1 3	63.79	17.2

[4]
Diffraction record for NaGaSi. The powder diffractogram is computed, not measured: it uses a cell relaxed with PBE and Cu Kα.

Structural model:
```
data_NaGaSi
_cell_length_a 4.171
_cell_length_b 10.358
_cell_length_c 7.167
_cell_angle_alpha 90.00
_cell_angle_beta 90.00
_cell_angle_gamma 90.00
_symmetry_space_group_name_H-M 'A e m 2'
_symmetry_Int_Tables_number 39
_symmetry_space_group_name_Hall 'A 2 -2b'
loop_
_atom_site_label
_atom_site_type_symbol
_atom_site_fract_x
_atom_site_fract_y
_atom_site_fract_z
_atom_site_occupancy
Na1 Na 0.000 0.000 0.000 1
Ga1 Ga 0.266 0.250 0.327 1
Si1 Si 0.239 0.250 0.664 1
```

Largest 8 diffraction maxima, by angle, 2θ from 10° to 90°:
(hkl)	2θ (°)	intensity
0 2 0	17.12	100.0
1 1 1	26.17	90.5
0 2 2	30.33	59.7
0 4 0	34.64	44.0
1 3 1	36.02	39.3
1 1 3	44.58	54.7
2 2 0	46.97	35.1
1 3 3	51.41	35.5

[5]
Diffraction record for V7W3. The powder diffractogram is computed, not measured: it uses a cell relaxed with PBE and Cu Kα.

Structural model:
```
data_V7W3
_cell_length_a 8.3787
_cell_length_b 8.3787
_cell_length_c 5.0543
_cell_angle_alpha 90.00
_cell_angle_beta 90.00
_cell_angle_gamma 120.00
_symmetry_space_group_name_H-M 'P 63/m m c'
_symmetry_Int_Tables_number 194
_symmetry_space_group_name_Hall '-P 6c 2c'
loop_
_atom_site_label
_atom_site_type_symbol
_atom_site_fract_x
_atom_site_fract_y
_atom_site_fract_z
_atom_site_occupancy
V1 V 0.0000 0.5000 0.0000 1
V2 V 0.1278 0.2557 0.2500 1
V3 V 0.3333 0.6667 0.2500 1
W1 W 0.2191 0.4381 0.7500 1
```

Largest 8 diffraction maxima, by angle, 2θ from 10° to 90°:
(hkl)	2θ (°)	intensity
1 0 0	12.20	31.4
1 0 1	21.43	75.6
2 0 1	30.33	27.8
0 0 2	35.52	26.2
3 0 1	41.38	100.0
2 0 2	43.65	46.6
2 1 2	49.02	31.0
3 3 2	78.21	24.3

[6]
Diffraction record for BaSrSmNbO6. The powder diffractogram is computed, not measured: it uses a cell relaxed with PBE and Cu Kα.

Structural model:
```
data_BaSrSmNbO6
_cell_length_a 8.609
_cell_length_b 8.609
_cell_length_c 8.609
_cell_angle_alpha 90.00
_cell_angle_beta 90.00
_cell_angle_gamma 90.00
_symmetry_space_group_name_H-M 'F -4 3 m'
_symmetry_Int_Tables_number 216
_symmetry_space_group_name_Hall 'F -4 2 3'
loop_
_atom_site_label
_atom_site_type_symbol
_atom_site_fract_x
_atom_site_fract_y
_atom_site_fract_z
_atom_site_occupancy
Ba1 Ba 0.000 0.000 0.000 1
Sr1 Sr 0.000 0.000 0.500 1
Sm1 Sm 0.250 0.250 0.750 1
Nb1 Nb 0.250 0.250 0.250 1
O1 O 0.016 0.250 0.250 1
```

Largest 8 diffraction maxima, by angle, 2θ from 10° to 90°:
(hkl)	2θ (°)	intensity
1 1 1	17.85	4.2
2 2 0	29.34	100.0
4 0 0	41.98	31.2
4 2 2	52.04	40.5
4 4 0	60.87	19.4
6 2 0	68.99	18.1
4 4 4	76.69	6.3
6 4 2	84.16	21.4

[7]
Diffraction record for Cs2PuPbI6. The powder diffractogram is computed, not measured: it uses a cell relaxed with PBE and Cu Kα.

Structural model:
```
data_Cs2PuPbI6
_cell_length_a 8.979
_cell_length_b 12.774
_cell_length_c 9.108
_cell_angle_alpha 90.00
_cell_angle_beta 90.00
_cell_angle_gamma 90.00
_symmetry_space_group_name_H-M 'P m m n'
_symmetry_Int_Tables_number 59
loop_
_symmetry_equiv_pos_as_xyz
'x,y,z'
'-x,-y,-z'
'-x+1/2,-y+1/2,z'
'x+1/2,y+1/2,-z'
'x+1/2,-y,-z'
'-x+1/2,y,z'
'-x,y+1/2,-z'
'x,-y+1/2,z'
loop_
_atom_site_label
_atom_site_type_symbol
_atom_site_fract_x
_atom_site_fract_y
_atom_site_fract_z
_atom_site_occupancy
Cs1 Cs 0.250 0.023 0.223 1
Pu1 Pu 0.250 0.750 0.760 1
Pb1 Pb 0.250 0.250 0.737 1
I1 I 0.005 0.750 0.009 1
I2 I 0.007 0.250 0.476 1
I3 I 0.250 0.503 0.765 1
```

Largest 8 diffraction maxima, by angle, 2θ from 10° to 90°:
(hkl)	2θ (°)	intensity
0 2 0	13.86	46.9
1 2 1	19.65	28.1
2 2 0	24.23	15.7
2 0 2	27.92	100.0
1 4 1	31.30	20.5
2 4 2	39.90	48.3
4 0 0	40.18	14.7
4 4 4	65.30	20.9

[8]
Diffraction record for Mg4Cd2In5. The powder diffractogram is computed, not measured: it uses a cell relaxed with PBE and Cu Kα.

Structural model:
```
data_Mg4Cd2In5
_cell_length_a 8.231
_cell_length_b 3.239
_cell_length_c 9.901
_cell_angle_alpha 90.00
_cell_angle_beta 96.71
_cell_angle_gamma 90.00
_symmetry_space_group_name_H-M 'P 1 2/m 1'
_symmetry_Int_Tables_number 10
_symmetry_space_group_name_Hall '-P 2y'
loop_
_atom_site_label
_atom_site_type_symbol
_atom_site_fract_x
_atom_site_fract_y
_atom_site_fract_z
_atom_site_occupancy
Mg1 Mg 0.188 0.000 0.386 1
Mg2 Mg 0.260 0.000 0.930 1
Cd1 Cd 0.081 0.500 0.137 1
In1 In 0.165 0.500 0.651 1
In2 In 0.457 0.500 0.182 1
In3 In 0.500 0.500 0.500 1
```

Largest 8 diffraction maxima, by angle, 2θ from 10° to 90°:
(hkl)	2θ (°)	intensity
0 1 0	27.54	100.0
3 0 0	32.91	60.3
3 0 -1	33.08	47.7
2 1 0	35.36	35.2
1 1 2	35.63	44.8
1 0 -4	36.93	40.5
2 0 3	37.11	39.7
3 1 0	43.44	47.3